Diffraction record for Ba3LuIr2O9. The powder diffraction line list is calculated, not measured: it uses a PBE-relaxed structure and Cu Kα (λ = 1.5418 Å).
Intensities are scaled so that the largest is 100.

Structural model:
a = 5.8452 Å, b = 5.8452 Å, c = 14.4770 Å
α = 90.00°, β = 90.00°, γ = 120.00°
Space group P6_3/mmc (No. 194)
Unique sites:
Ba: 0.0000 0.0000 0.2500 [2 per cell]
Ba: 0.3333 0.6667 0.0910 [4 per cell]
Lu: 0.0000 0.0000 0.0000 [2 per cell]
Ir: 0.3333 0.6667 0.6633 [4 per cell]
O: 0.0136 0.5068 0.7500 [6 per cell]
O: 0.1740 0.3479 0.5851 [12 per cell]

Largest 8 diffraction maxima, by angle, 2θ = 5–70°:
2θ (°)	I_rel	h k l
18.6	26	1 0 1
30.4	58	1 0 4
30.6	100	1 1 0
35.7	20	1 0 5
43.6	31	2 0 4
54.2	22	2 1 4
54.4	20	3 0 0
63.7	17	2 2 0